1.
Diffraction record for NdHf2Sc6. The powder XRD pattern is computed, not measured: it uses the GGA-PBE geometry in Alexandria and Cu Kα X-rays.
Neutral-atom scattering factors, no anomalous dispersion.

Top 10 peaks for 10° ≤ 2θ ≤ 80°, by angle:
2θ 11.05, I = 100; 2θ 31.32, I = 32; 2θ 32.22, I = 24; 2θ 33.31, I = 24; 2θ 33.57, I = 31; 2θ 34.78, I = 57; 2θ 36.60, I = 46; 2θ 38.73, I = 25; 2θ 55.75, I = 23; 2θ 66.67, I = 24

Atomic structure:
```
NdHf2Sc6
1.0
3.298 0.000 0.000
-1.649 2.856 0.000
0.000 0.000 24.028
Nd Hf Sc
1 2 6
direct
0.000 0.000 0.000
0.667 0.333 0.334
0.667 0.333 0.666
0.000 0.000 0.230
0.000 0.000 0.436
0.000 0.000 0.564
0.000 0.000 0.770
0.667 0.333 0.121
0.667 0.333 0.879
```



2.
Diffraction record for Ac6Rh2CBr3. The powder XRD pattern is computed, not measured: it uses the GGA-PBE geometry in Alexandria and Cu Kα X-rays.
Neutral-atom scattering factors, no anomalous dispersion.

Top 10 peaks for 10° ≤ 2θ ≤ 80°, by angle:
2θ 10.79, I = 26; 2θ 25.12, I = 31; 2θ 28.13, I = 100; 2θ 30.21, I = 21; 2θ 35.21, I = 22; 2θ 38.04, I = 22; 2θ 42.28, I = 39; 2θ 47.49, I = 15; 2θ 51.55, I = 18; 2θ 54.47, I = 29

Atomic structure:
```
Ac6Rh2CBr3
1.0
3.704 -6.412 0.000
3.704 6.412 0.000
-2.457 0.000 8.201
Ac Rh C Br
6 2 1 3
direct
0.063 0.378 0.188
0.253 0.253 0.812
0.378 0.063 0.188
0.622 0.937 0.812
0.747 0.747 0.188
0.937 0.622 0.812
0.333 0.667 0.000
0.667 0.333 0.000
0.000 0.000 0.000
0.166 0.834 0.500
0.500 0.500 0.500
0.834 0.166 0.500
```



3.
Diffraction record for DyRuBr. The powder XRD pattern is computed, not measured: it uses the GGA-PBE geometry in Alexandria and Cu Kα X-rays.
Neutral-atom scattering factors, no anomalous dispersion.

Top 10 peaks for 10° ≤ 2θ ≤ 80°, by angle:
2θ 24.87, I = 28; 2θ 30.92, I = 100; 2θ 32.60, I = 39; 2θ 36.34, I = 31; 2θ 38.38, I = 34; 2θ 43.54, I = 62; 2θ 44.31, I = 18; 2θ 54.35, I = 20; 2θ 66.93, I = 32; 2θ 72.08, I = 17

Atomic structure:
```
DyRuBr
1.0
2.079 1.200 11.334
-2.079 1.200 11.334
0.000 -2.400 11.334
Dy Ru Br
2 2 2
direct
0.058 0.058 0.058
0.942 0.942 0.942
0.336 0.336 0.336
0.664 0.664 0.664
0.222 0.222 0.222
0.778 0.778 0.778
```



4.
Diffraction record for AcTi2O5. The powder XRD pattern is computed, not measured: it uses the GGA-PBE geometry in Alexandria and Cu Kα X-rays.
Neutral-atom scattering factors, no anomalous dispersion.

Top 10 peaks for 10° ≤ 2θ ≤ 80°, by angle:
2θ 15.13, I = 87; 2θ 18.99, I = 37; 2θ 23.14, I = 100; 2θ 24.24, I = 38; 2θ 28.81, I = 42; 2θ 28.98, I = 44; 2θ 29.99, I = 93; 2θ 32.59, I = 76; 2θ 45.33, I = 67; 2θ 48.83, I = 34

Atomic structure:
```
AcTi2O5
1.0
3.867 0.000 0.000
0.000 11.712 0.000
0.000 0.000 5.095
Ac Ti O
2 4 10
direct
0.250 0.250 0.099
0.750 0.750 0.901
0.250 0.591 0.428
0.250 0.909 0.428
0.750 0.091 0.572
0.750 0.409 0.572
0.250 0.084 0.459
0.250 0.416 0.459
0.250 0.623 0.090
0.250 0.750 0.582
0.250 0.877 0.090
0.750 0.123 0.910
0.750 0.250 0.418
0.750 0.377 0.910
0.750 0.584 0.541
0.750 0.916 0.541
```